(1)
# PaAgAu2
Computed powder diffractogram, Cu Kα, 1.54184 Å. Input: a GGA-PBE-relaxed structure.
Lines closer than 0.1° are merged.

The 10 most intense peaks (15° ≤ 2θ ≤ 90°), in order of rising 2θ:
2θ (°)  d (Å)  intensity
22.12  4.018  5
36.52  2.460  100
43.11  2.098  3
52.60  1.740  18
57.74  1.597  1
65.73  1.421  36
70.28  1.339  1
77.61  1.230  12
81.89  1.176  1
88.95  1.100  17

a = 4.921 Å, b = 4.921 Å, c = 4.921 Å
α = 60.00°, β = 60.00°, γ = 60.00°
Sites, in units of the cell vectors:
Pa 0.000 0.000 0.000
Ag 0.500 0.500 0.500
Au 0.250 0.250 0.250
Au 0.750 0.750 0.750



(2)
# Al3Pt2
Computed powder diffractogram, Cu Kα, 1.54184 Å. Input: a GGA-PBE-relaxed structure.
Lines closer than 0.1° are merged.

The 10 most intense peaks (15° ≤ 2θ ≤ 90°), in order of rising 2θ:
2θ (°)  d (Å)  intensity
15.92  5.566  13
24.89  3.577  20
29.69  3.009  100
41.10  2.196  47
43.84  2.065  44
53.85  1.703  20
55.41  1.658  12
61.65  1.504  14
71.87  1.314  17
78.69  1.216  14

a = 4.130 Å, b = 4.130 Å, c = 11.131 Å
α = 90.00°, β = 90.00°, γ = 120.00°
Sites, in units of the cell vectors:
Al 0.000 0.000 0.000
Al 0.000 0.000 0.227
Al 0.000 0.000 0.500
Al 0.000 0.000 0.773
Al 0.333 0.667 0.334
Al 0.667 0.333 0.666
Pt 0.333 0.667 0.103
Pt 0.333 0.667 0.588
Pt 0.667 0.333 0.412
Pt 0.667 0.333 0.897



(3)
# MgNb2S4Cl4
Computed powder diffractogram, Cu Kα, 1.54184 Å. Input: a GGA-PBE-relaxed structure.
Lines closer than 0.1° are merged.

The 10 most intense peaks (15° ≤ 2θ ≤ 90°), in order of rising 2θ:
2θ (°)  d (Å)  intensity
17.37  5.106  58
18.45  4.809  60
34.00  2.637  100
37.40  2.404  22
41.10  2.196  31
42.46  2.129  71
44.56  2.033  32
45.29  2.002  26
46.43  1.956  22
50.85  1.796  23

a = 6.113 Å, b = 6.573 Å, c = 6.708 Å
α = 80.07°, β = 68.35°, γ = 62.35°
Sites, in units of the cell vectors:
Mg 0.000 0.000 0.000
Nb 0.483 0.029 0.496
Nb 0.723 0.548 0.496
S 0.211 0.787 0.606
S 0.495 0.788 0.819
S 0.712 0.790 0.173
S 0.998 0.787 0.388
Cl 0.037 0.338 0.742
Cl 0.167 0.231 0.267
Cl 0.596 0.231 0.724
Cl 0.619 0.339 0.251



(4)
# MgTl2Pb16Br18O8
Computed powder diffractogram, Cu Kα, 1.54184 Å. Input: a GGA-PBE-relaxed structure.
Lines closer than 0.1° are merged.

The 10 most intense peaks (15° ≤ 2θ ≤ 90°), in order of rising 2θ:
2θ (°)  d (Å)  intensity
18.80  4.721  38
25.97  3.431  28
26.28  3.391  100
27.55  3.238  47
29.46  3.032  57
29.65  3.013  46
29.77  3.001  39
30.10  2.969  58
31.08  2.878  79
31.51  2.839  47

a = 8.465 Å, b = 12.631 Å, c = 12.960 Å
α = 87.92°, β = 89.60°, γ = 89.34°
Sites, in units of the cell vectors:
Mg 0.000 0.000 0.000
Tl 0.444 0.184 0.708
Tl 0.754 0.657 0.217
Pb 0.268 0.402 0.307
Pb 0.273 0.750 0.487
Pb 0.280 0.580 0.943
Pb 0.281 0.930 0.153
Pb 0.439 0.229 0.091
Pb 0.450 0.114 0.355
Pb 0.452 0.529 0.663
Pb 0.454 0.801 0.767
Pb 0.732 0.719 0.571
Pb 0.734 0.310 0.270
Pb 0.744 0.033 0.175
Pb 0.745 0.605 0.842
Pb 0.916 0.251 0.004
Pb 0.921 0.434 0.630
Pb 0.922 0.890 0.762
Pb 0.927 0.093 0.444
Br 0.094 0.199 0.244
Br 0.096 0.667 0.711
Br 0.214 0.382 0.836
Br 0.216 0.954 0.588
Br 0.221 0.290 0.513
Br 0.240 0.040 0.883
Br 0.486 0.787 0.028
Br 0.497 0.554 0.400
Br 0.498 0.488 0.096
Br 0.503 0.852 0.344
Br 0.704 0.346 0.829
Br 0.704 0.985 0.593
Br 0.713 0.289 0.528
Br 0.733 0.040 0.891
Br 0.980 0.556 0.431
Br 0.980 0.792 0.987
Br 0.992 0.467 0.110
Br 0.993 0.892 0.326
O 0.449 0.066 0.180
O 0.464 0.280 0.266
O 0.464 0.712 0.608
O 0.473 0.617 0.820
O 0.710 0.217 0.114
O 0.724 0.770 0.749
O 0.725 0.557 0.666
O 0.726 0.127 0.327



(5)
# Lu2Fe3Si5
Computed powder diffractogram, Cu Kα, 1.54184 Å. Input: a GGA-PBE-relaxed structure.
Lines closer than 0.1° are merged.

The 10 most intense peaks (15° ≤ 2θ ≤ 90°), in order of rising 2θ:
2θ (°)  d (Å)  intensity
25.49  3.495  36
32.18  2.781  100
33.27  2.693  28
36.06  2.491  35
38.76  2.323  28
39.23  2.297  25
39.87  2.261  53
41.76  2.163  56
50.76  1.799  21
54.85  1.674  32

a = 10.271 Å, b = 10.271 Å, c = 5.386 Å
α = 90.00°, β = 90.00°, γ = 90.00°
Sites, in units of the cell vectors:
Lu 0.069 0.237 0.000
Lu 0.237 0.931 0.000
Lu 0.263 0.431 0.500
Lu 0.431 0.737 0.500
Lu 0.569 0.263 0.500
Lu 0.737 0.569 0.500
Lu 0.763 0.069 0.000
Lu 0.931 0.763 0.000
Fe 0.000 0.500 0.250
Fe 0.000 0.500 0.750
Fe 0.123 0.856 0.500
Fe 0.144 0.123 0.500
Fe 0.356 0.623 0.000
Fe 0.377 0.356 0.000
Fe 0.500 0.000 0.250
Fe 0.500 0.000 0.750
Fe 0.623 0.644 0.000
Fe 0.644 0.377 0.000
Fe 0.856 0.877 0.500
Fe 0.877 0.144 0.500
Si 0.000 0.000 0.259
Si 0.000 0.000 0.741
Si 0.023 0.319 0.500
Si 0.178 0.678 0.250
Si 0.178 0.678 0.750
Si 0.181 0.477 0.000
Si 0.319 0.977 0.500
Si 0.322 0.178 0.250
Si 0.322 0.178 0.750
Si 0.477 0.819 0.000
Si 0.500 0.500 0.241
Si 0.500 0.500 0.759
Si 0.523 0.181 0.000
Si 0.678 0.822 0.250
Si 0.678 0.822 0.750
Si 0.681 0.023 0.500
Si 0.819 0.523 0.000
Si 0.822 0.322 0.250
Si 0.822 0.322 0.750
Si 0.977 0.681 0.500



(6)
# Th2AuF11
Computed powder diffractogram, Cu Kα, 1.54184 Å. Input: a GGA-PBE-relaxed structure.
Lines closer than 0.1° are merged.

The 10 most intense peaks (15° ≤ 2θ ≤ 90°), in order of rising 2θ:
2θ (°)  d (Å)  intensity
22.23  3.998  100
24.51  3.631  56
28.01  3.185  23
37.56  2.395  31
44.64  2.030  16
44.82  2.022  28
45.36  1.999  18
46.26  1.962  15
53.53  1.712  14
68.90  1.363  11

a = 8.723 Å, b = 8.723 Å, c = 8.723 Å
α = 97.66°, β = 97.66°, γ = 137.16°
Sites, in units of the cell vectors:
Th 0.143 0.643 0.787
Th 0.357 0.143 0.500
Th 0.643 0.857 0.500
Th 0.857 0.357 0.213
Au 0.000 0.000 0.000
Au 0.500 0.500 0.000
F 0.000 0.000 0.500
F 0.000 0.500 0.000
F 0.000 0.500 0.500
F 0.060 0.750 0.310
F 0.104 0.865 0.969
F 0.135 0.104 0.239
F 0.250 0.560 0.310
F 0.250 0.940 0.690
F 0.365 0.604 0.969
F 0.396 0.365 0.761
F 0.440 0.750 0.690
F 0.500 0.000 0.000
F 0.500 0.000 0.500
F 0.500 0.500 0.500
F 0.560 0.250 0.310
F 0.604 0.635 0.239
F 0.635 0.396 0.031
F 0.750 0.060 0.310
F 0.750 0.440 0.690
F 0.865 0.896 0.761
F 0.896 0.135 0.031
F 0.940 0.250 0.690